Tm2GeS: computed X-ray powder pattern (Cu Ka), based on a PBE-relaxed structure.
Neutral-atom scattering factors, no anomalous dispersion.

Most intense lines, 15° ≤ 2θ ≤ 90°, by angle:
| 2θ (°) | I_rel |
| --- | --- |
| 17.60 | 2 |
| 27.42 | 50 |
| 31.77 | 100 |
| 45.54 | 73 |
| 53.98 | 24 |
| 56.59 | 26 |
| 66.37 | 12 |
| 73.23 | 10 |
| 75.46 | 33 |
| 84.19 | 25 |

Structural model:
```
16
Lattice="5.632 0.000 0.000 0.000 5.633 0.000 0.000 0.000 11.274" Properties=species:S:1:pos:R:3 pbc="T T T"
Tm 0.000 1.405 1.426
Tm 0.000 1.411 7.029
Tm 0.000 4.222 4.245
Tm 0.000 4.228 9.847
Tm 2.816 1.405 4.210
Tm 2.816 1.411 9.881
Tm 2.816 4.222 1.392
Tm 2.816 4.228 7.063
Ge 0.000 1.411 9.865
Ge 0.000 4.222 1.409
Ge 2.816 1.411 7.046
Ge 2.816 4.222 4.228
S 0.000 1.406 4.228
S 0.000 4.227 7.046
S 2.816 1.406 1.409
S 2.816 4.227 9.865
```

TmGe2S4: computed X-ray powder pattern (Cu Ka), based on a PBE-relaxed structure.
Neutral-atom scattering factors, no anomalous dispersion.

Most intense lines, 15° ≤ 2θ ≤ 90°, by angle:
| 2θ (°) | I_rel |
| --- | --- |
| 18.08 | 100 |
| 24.35 | 43 |
| 30.50 | 69 |
| 32.12 | 75 |
| 34.71 | 49 |
| 46.86 | 18 |
| 48.01 | 74 |
| 49.88 | 29 |
| 56.27 | 23 |
| 82.22 | 20 |

Structural model:
```
7
Lattice="-3.655 3.655 3.309 3.655 -3.655 3.309 3.655 3.655 -3.309" Properties=species:S:1:pos:R:3 pbc="T T T"
Tm 0.000 0.000 0.000
Ge 3.655 0.000 1.655
Ge 0.000 3.655 1.655
S 5.021 1.323 0.000
S 1.323 2.290 0.000
S 2.333 1.365 3.309
S -1.365 2.333 3.309
```

Tm7GeS5: computed X-ray powder pattern (Cu Ka), based on a PBE-relaxed structure.
Neutral-atom scattering factors, no anomalous dispersion.

Most intense lines, 15° ≤ 2θ ≤ 90°, by angle:
| 2θ (°) | I_rel |
| --- | --- |
| 26.76 | 27 |
| 28.72 | 90 |
| 30.91 | 54 |
| 30.93 | 53 |
| 32.44 | 100 |
| 33.64 | 59 |
| 43.24 | 28 |
| 46.81 | 59 |
| 47.53 | 29 |
| 57.18 | 38 |

Structural model:
```
26
Lattice="6.275 -1.940 0.000 6.275 1.940 0.000 -0.011 0.000 22.812" Properties=species:S:1:pos:R:3 pbc="T T T"
Tm 0.374 0.000 5.703
Tm 1.729 0.000 12.243
Tm 1.723 0.000 21.974
Tm 3.930 0.000 7.346
Tm 3.936 0.000 4.061
Tm 5.100 0.000 14.007
Tm 5.093 0.000 20.207
Tm 7.446 0.000 2.605
Tm 7.438 0.000 8.805
Tm 8.603 0.000 18.751
Tm 8.609 0.000 15.466
Tm 10.816 0.000 0.838
Tm 10.810 0.000 10.569
Tm 12.165 0.000 17.109
Ge 3.813 0.000 17.112
Ge 8.726 0.000 5.700
S 0.597 0.000 14.640
S 0.591 0.000 19.578
S 2.824 0.000 9.782
S 2.830 0.000 1.623
S 6.275 0.000 0.000
S 6.269 0.000 11.406
S 9.709 0.000 21.189
S 9.715 0.000 13.030
S 11.948 0.000 3.234
S 11.942 0.000 8.172
```

Tm8GeS6: computed X-ray powder pattern (Cu Ka), based on a PBE-relaxed structure.
Neutral-atom scattering factors, no anomalous dispersion.

Most intense lines, 15° ≤ 2θ ≤ 90°, by angle:
| 2θ (°) | I_rel |
| --- | --- |
| 29.31 | 63 |
| 31.13 | 100 |
| 36.10 | 29 |
| 37.62 | 13 |
| 43.28 | 28 |
| 51.97 | 26 |
| 54.26 | 12 |
| 57.59 | 19 |
| 76.59 | 11 |
| 82.17 | 14 |

Structural model:
```
15
Lattice="9.954 0.000 0.000 -4.977 8.620 0.000 0.000 0.000 3.854" Properties=species:S:1:pos:R:3 pbc="T T T"
Tm -1.285 2.803 0.947
Tm -1.907 8.332 0.947
Tm 1.785 2.514 2.908
Tm 0.000 5.747 2.900
Tm 4.977 2.873 0.954
Tm 3.192 6.106 0.947
Tm 6.884 0.289 2.908
Tm 6.262 5.817 2.908
Ge 0.000 0.000 0.000
S -1.907 5.615 0.967
S 1.068 4.161 0.967
S 4.137 1.156 2.887
S 0.839 7.464 0.967
S 3.909 4.459 2.887
S 6.884 3.005 2.887
```

V4GeS8: computed X-ray powder pattern (Cu Ka), based on a PBE-relaxed structure.
Neutral-atom scattering factors, no anomalous dispersion.

Most intense lines, 15° ≤ 2θ ≤ 90°, by angle:
| 2θ (°) | I_rel |
| --- | --- |
| 15.93 | 21 |
| 18.33 | 55 |
| 26.03 | 26 |
| 30.54 | 52 |
| 30.71 | 52 |
| 37.15 | 100 |
| 45.75 | 25 |
| 48.79 | 32 |
| 49.04 | 32 |
| 53.55 | 76 |

Structural model:
```
13
Lattice="-3.400 3.445 4.841 3.400 -3.445 4.841 3.400 3.445 -4.841" Properties=species:S:1:pos:R:3 pbc="T T T"
V 2.058 3.445 -2.845
V 1.343 0.000 1.997
V 0.000 1.445 0.000
V 0.000 5.445 0.000
Ge 0.000 0.000 5.879
S 3.400 -1.550 2.323
S 3.400 1.550 2.323
S 1.556 3.445 -0.322
S 1.844 0.000 4.520
S 0.000 1.809 2.254
S 0.000 5.081 2.254
S -1.660 3.445 4.592
S 1.660 3.445 4.592
```